This entry pairs a crystal structure of Pu3NiP3 with its calculated powder X-ray diffraction pattern. Radiation: Cu Kα X-rays. Structure: a cell relaxed with PBE.
No peak broadening, texture or thermal motion is included.

Largest 10 diffraction maxima, by angle, 10 to 90 degrees two-theta:
| d [Å] | 2theta | I_rel |
| --- | --- | --- |
| 4.000 | 22.23 | 27 |
| 3.254 | 27.41 | 100 |
| 2.945 | 30.35 | 38 |
| 2.797 | 31.99 | 48 |
| 2.618 | 34.24 | 71 |
| 2.372 | 37.94 | 25 |
| 2.309 | 39.00 | 19 |
| 1.912 | 47.57 | 57 |
| 1.781 | 51.30 | 17 |
| 1.529 | 60.56 | 22 |

```
14
Lattice="7.9996 0.0000 0.0000 -3.9998 6.9279 0.0000 0.0000 0.0000 5.5946" Properties=species:S:1:pos:R:3 pbc="T T T"
Pu -2.0855 4.7968 1.3987
Pu 0.8884 2.7233 1.3987
Pu 2.8027 0.5923 4.1960
Pu 1.1971 6.3356 1.3987
Pu 3.1114 4.2045 4.1960
Pu 6.0854 2.1311 4.1960
Ni 0.0000 4.6186 4.1960
Ni 3.9998 2.3093 1.3987
P -2.2041 4.9515 4.1960
P 0.8138 2.5433 4.1960
P 2.6095 0.5669 1.3987
P 1.3903 6.3610 4.1960
P 3.1860 4.3846 1.3987
P 6.2039 1.9764 1.3987
```

This entry pairs a crystal structure of Er3Ga2Si3 with its calculated powder X-ray diffraction pattern. Radiation: Cu Kα X-rays. Structure: a cell relaxed with PBE.
No peak broadening, texture or thermal motion is included.

Largest 10 diffraction maxima, by angle, 10 to 90 degrees two-theta:
| d [Å] | 2theta | I_rel |
| --- | --- | --- |
| 3.688 | 24.13 | 21 |
| 3.605 | 24.70 | 38 |
| 3.387 | 26.31 | 31 |
| 2.677 | 33.48 | 37 |
| 2.651 | 33.82 | 100 |
| 2.633 | 34.05 | 33 |
| 2.454 | 36.63 | 23 |
| 2.165 | 41.73 | 27 |
| 2.044 | 44.33 | 26 |
| 1.980 | 45.82 | 14 |

```
16
Lattice="2.0435 -5.3123 0.0000 2.0435 5.3123 0.0000 0.0000 0.0000 14.7215" Properties=species:S:1:pos:R:3 pbc="T T T"
Er 2.0435 4.5200 11.0411
Er 2.0435 1.4128 8.7810
Er 2.0435 1.4128 13.3012
Er 2.0435 -1.4128 1.4203
Er 2.0435 -1.4128 5.9405
Er 2.0435 -4.5200 3.6804
Ga 2.0435 1.6399 1.7821
Ga 2.0435 1.6399 5.5786
Ga 2.0435 -1.6399 9.1428
Ga 2.0435 -1.6399 12.9393
Si 2.0435 4.4437 8.1233
Si 2.0435 4.4437 13.9589
Si 2.0435 3.2437 3.6804
Si 2.0435 -3.2437 11.0411
Si 2.0435 -4.4437 0.7626
Si 2.0435 -4.4437 6.5981
```